Simulated PXRD pattern of Mg6NiBiO8 for Cu Kα (weighted mean of Kα1 and Kα2), from a GGA+U-relaxed structure.
Lines closer than 0.1° are merged.

Principal peaks in the range 10 to 80 degrees two-theta, in order of falling intensity:
- 10.07°, intensity 100, hkl 0 0 1
- 40.28°, intensity 58, hkl 2 0 0
- 34.94°, intensity 49, hkl 1 1 2
- 30.00°, intensity 41, hkl 1 1 1
- 58.93°, intensity 34, hkl 2 0 4
- 22.29°, intensity 33, hkl 1 0 1

Structural model:
a = 4.4778 Å, b = 4.4778 Å, c = 8.7797 Å
α = 90.00°, β = 90.00°, γ = 90.00°
Atoms (fractional coordinates):
Mg1 0.0000 0.0000 0.0000
Mg2 0.0000 0.5000 0.2387
Mg3 0.0000 0.5000 0.7613
Mg4 0.5000 0.0000 0.2387
Mg5 0.5000 0.0000 0.7613
Mg6 0.5000 0.5000 0.0000
Ni1 0.0000 0.0000 0.5000
Bi1 0.5000 0.5000 0.5000
O1 0.0000 0.0000 0.2364
O2 0.0000 0.0000 0.7636
O3 0.0000 0.5000 0.0000
O4 0.0000 0.5000 0.5000
O5 0.5000 0.0000 0.0000
O6 0.5000 0.0000 0.5000
O7 0.5000 0.5000 0.2307
O8 0.5000 0.5000 0.7693